For La3MgSb4, the GGA-PBE geometry in Alexandria gives the computed powder XRD pattern in this record (Cu Kα).
No peak broadening, texture or thermal motion is included.

Structural model:
Lattice parameters (Å, degrees): 6.4780 6.4780 6.4780 90.00 90.00 90.00
Fractional coordinates of all 8 atoms:
La1 0.0000 0.0000 0.5000
La2 0.0000 0.5000 0.0000
La3 0.5000 0.0000 0.0000
Mg1 0.5000 0.5000 0.5000
Sb1 0.0000 0.0000 0.0000
Sb2 0.0000 0.5000 0.5000
Sb3 0.5000 0.0000 0.5000
Sb4 0.5000 0.5000 0.0000

Most intense lines, 10° ≤ 2θ ≤ 90°, low angle first:
- 27.54 deg, I = 100
- 39.34 deg, I = 77
- 48.69 deg, I = 28
- 56.85 deg, I = 13
- 64.31 deg, I = 35
- 71.32 deg, I = 26



For Li3Pd2, the GGA-PBE geometry in Alexandria gives the computed powder XRD pattern in this record (Cu Kα).
No peak broadening, texture or thermal motion is included.

Structural model:
Lattice parameters (Å, degrees): 4.4795 4.4795 4.4795 67.77 67.77 67.77
Fractional coordinates of all 5 atoms:
Li1 0.0000 0.5000 0.5000
Li2 0.5000 0.0000 0.5000
Li3 0.5000 0.5000 0.0000
Pd1 0.1302 0.1302 0.1302
Pd2 0.8698 0.8698 0.8698

Most intense lines, 10° ≤ 2θ ≤ 90°, low angle first:
- 22.30 deg, I = 100
- 25.99 deg, I = 26
- 35.96 deg, I = 63
- 40.83 deg, I = 48
- 42.72 deg, I = 23
- 44.91 deg, I = 44



For Tb2Pr5ErSc, the GGA-PBE geometry in Alexandria gives the computed powder XRD pattern in this record (Cu Kα).
No peak broadening, texture or thermal motion is included.

Structural model:
Lattice parameters (Å, degrees): 11.3249 11.3249 10.3057 90.00 90.00 152.33
Fractional coordinates of all 18 atoms:
Tb1 0.1150 0.8850 0.5000
Tb2 0.1152 0.8848 0.9946
Tb3 0.8850 0.1150 0.0000
Tb4 0.8848 0.1152 0.4946
Pr1 0.0000 0.0000 0.2474
Pr2 0.0000 0.0000 0.7474
Pr3 0.2784 0.7216 0.0590
Pr4 0.2781 0.7219 0.4347
Pr5 0.3722 0.6278 0.7472
Pr6 0.4999 0.5001 0.4974
Pr7 0.5001 0.4999 0.9974
Pr8 0.6278 0.3722 0.2472
Pr9 0.7216 0.2784 0.5590
Pr10 0.7219 0.2781 0.9347
Er1 0.3980 0.6020 0.2473
Er2 0.6020 0.3980 0.7473
Sc1 0.2110 0.7890 0.7469
Sc2 0.7890 0.2110 0.2469

Most intense lines, 10° ≤ 2θ ≤ 90°, low angle first:
- 26.80 deg, I = 35
- 31.43 deg, I = 100
- 32.57 deg, I = 14
- 33.08 deg, I = 32
- 34.82 deg, I = 17
- 58.06 deg, I = 17